# 1
The following is a theoretical powder X-ray diffraction pattern of YH3. It was derived from the PBE geometry in the Materials Project, using copper Kα.
Intensities are scaled so that the largest is 100.

Structural model:
a = 6.344 Å, b = 6.344 Å, c = 6.615 Å
α = 90.00°, β = 90.00°, γ = 120.00°
Positions (direct):
Y (0.000, 0.337, 0.250)
Y (0.000, 0.663, 0.750)
Y (0.337, 0.000, 0.250)
Y (0.337, 0.337, 0.750)
Y (0.663, 0.000, 0.750)
Y (0.663, 0.663, 0.250)
H (0.000, 0.000, 0.250)
H (0.000, 0.000, 0.750)
H (0.029, 0.350, 0.908)
H (0.029, 0.678, 0.408)
H (0.322, 0.350, 0.408)
H (0.322, 0.971, 0.908)
H (0.333, 0.667, 0.185)
H (0.333, 0.667, 0.685)
H (0.350, 0.029, 0.592)
H (0.350, 0.322, 0.092)
H (0.650, 0.678, 0.908)
H (0.650, 0.971, 0.408)
H (0.667, 0.333, 0.315)
H (0.667, 0.333, 0.815)
H (0.678, 0.029, 0.092)
H (0.678, 0.650, 0.592)
H (0.971, 0.322, 0.592)
H (0.971, 0.650, 0.092)

Main lines, in order of rising 2θ (5 to 70 degrees two-theta):
2theta, I_rel
26.96, 34
28.13, 23
31.28, 100
49.79, 19
50.41, 27
57.53, 23


# 2
The following is a theoretical powder X-ray diffraction pattern of Ca3Ag. It was derived from the PBE geometry in the Materials Project, using copper Kα.
Intensities are scaled so that the largest is 100.

Structural model:
a = 5.082 Å, b = 5.082 Å, c = 5.082 Å
α = 90.00°, β = 90.00°, γ = 90.00°
Positions (direct):
Ca (0.000, 0.000, 0.500)
Ca (0.000, 0.500, 0.000)
Ca (0.500, 0.000, 0.000)
Ag (0.500, 0.500, 0.500)

Main lines, in order of rising 2θ (5 to 70 degrees two-theta):
2theta, I_rel
17.45, 23
24.77, 21
30.46, 100
35.32, 50
50.81, 33
60.41, 37


# 3
The following is a theoretical powder X-ray diffraction pattern of Ba8Ge43. It was derived from the PBE geometry in the Materials Project, using copper Kα.
Intensities are scaled so that the largest is 100.

Structural model:
a = 10.855 Å, b = 10.855 Å, c = 10.855 Å
α = 90.10°, β = 90.10°, γ = 90.10°
Positions (direct):
Ba (0.000, 0.757, 0.243)
Ba (0.243, 0.000, 0.757)
Ba (0.244, 0.500, 0.756)
Ba (0.248, 0.248, 0.248)
Ba (0.500, 0.756, 0.244)
Ba (0.752, 0.752, 0.752)
Ba (0.756, 0.244, 0.500)
Ba (0.757, 0.243, 0.000)
Ge (0.055, 0.751, 0.637)
Ge (0.063, 0.072, 0.436)
Ge (0.067, 0.067, 0.067)
Ge (0.068, 0.430, 0.440)
Ge (0.072, 0.436, 0.063)
Ge (0.078, 0.750, 0.877)
Ge (0.123, 0.250, 0.585)
Ge (0.123, 0.250, 0.922)
Ge (0.249, 0.557, 0.363)
Ge (0.249, 0.945, 0.363)
Ge (0.250, 0.585, 0.123)
Ge (0.250, 0.750, 0.500)
Ge (0.250, 0.922, 0.123)
Ge (0.363, 0.249, 0.557)
Ge (0.363, 0.249, 0.945)
Ge (0.415, 0.750, 0.877)
Ge (0.430, 0.440, 0.068)
Ge (0.434, 0.434, 0.434)
Ge (0.436, 0.063, 0.072)
Ge (0.440, 0.068, 0.430)
Ge (0.443, 0.751, 0.637)
Ge (0.500, 0.250, 0.750)
Ge (0.557, 0.363, 0.249)
Ge (0.560, 0.570, 0.932)
Ge (0.564, 0.928, 0.937)
Ge (0.566, 0.566, 0.566)
Ge (0.570, 0.932, 0.560)
Ge (0.585, 0.123, 0.250)
Ge (0.637, 0.055, 0.751)
Ge (0.637, 0.443, 0.751)
Ge (0.750, 0.500, 0.250)
Ge (0.750, 0.877, 0.078)
Ge (0.750, 0.877, 0.415)
Ge (0.751, 0.637, 0.055)
Ge (0.751, 0.637, 0.443)
Ge (0.877, 0.078, 0.750)
Ge (0.877, 0.415, 0.750)
Ge (0.922, 0.123, 0.250)
Ge (0.928, 0.937, 0.564)
Ge (0.932, 0.560, 0.570)
Ge (0.933, 0.933, 0.933)
Ge (0.937, 0.564, 0.928)
Ge (0.945, 0.363, 0.249)

Main lines, in order of rising 2θ (5 to 70 degrees two-theta):
2theta, I_rel
28.49, 21
29.67, 53
30.82, 100
48.92, 29
50.43, 21
51.91, 32


# 4
The following is a theoretical powder X-ray diffraction pattern of NpSi2Rh2. It was derived from the PBE geometry in the Materials Project, using copper Kα.
Intensities are scaled so that the largest is 100.

Structural model:
a = 5.851 Å, b = 5.851 Å, c = 5.851 Å
α = 139.64°, β = 139.64°, γ = 58.40°
Positions (direct):
Np (0.000, 0.000, 0.000)
Si (0.380, 0.380, 0.000)
Si (0.620, 0.620, 0.000)
Rh (0.250, 0.750, 0.500)
Rh (0.750, 0.250, 0.500)

Main lines, in order of rising 2θ (5 to 70 degrees two-theta):
2theta, I_rel
23.70, 50
34.46, 41
35.14, 20
36.04, 100
44.91, 34
58.27, 19


# 5
The following is a theoretical powder X-ray diffraction pattern of SiO2. It was derived from the PBE geometry in the Materials Project, using copper Kα.
Intensities are scaled so that the largest is 100.

Structural model:
a = 13.148 Å, b = 13.148 Å, c = 7.653 Å
α = 90.00°, β = 90.00°, γ = 120.00°
Positions (direct):
Si (0.000, 0.238, 0.203)
Si (0.000, 0.238, 0.797)
Si (0.000, 0.762, 0.203)
Si (0.000, 0.762, 0.797)
Si (0.091, 0.424, 0.500)
Si (0.091, 0.668, 0.500)
Si (0.238, 0.000, 0.203)
Si (0.238, 0.000, 0.797)
Si (0.238, 0.238, 0.203)
Si (0.238, 0.238, 0.797)
Si (0.332, 0.424, 0.500)
Si (0.332, 0.909, 0.500)
Si (0.576, 0.668, 0.500)
Si (0.576, 0.909, 0.500)
Si (0.762, 0.000, 0.203)
Si (0.762, 0.000, 0.797)
Si (0.762, 0.762, 0.203)
Si (0.762, 0.762, 0.797)
O (0.000, 0.275, 0.000)
O (0.000, 0.724, 0.000)
O (0.025, 0.349, 0.325)
O (0.025, 0.349, 0.675)
O (0.025, 0.676, 0.325)
O (0.025, 0.676, 0.675)
O (0.085, 0.542, 0.500)
O (0.101, 0.203, 0.233)
O (0.101, 0.203, 0.767)
O (0.101, 0.899, 0.233)
O (0.101, 0.899, 0.767)
O (0.228, 0.456, 0.500)
O (0.228, 0.772, 0.500)
O (0.252, 0.126, 0.255)
O (0.252, 0.126, 0.745)
O (0.276, 0.000, 0.000)
O (0.276, 0.275, 0.000)
O (0.324, 0.349, 0.325)
O (0.324, 0.349, 0.675)
O (0.324, 0.975, 0.325)
O (0.324, 0.975, 0.675)
O (0.458, 0.542, 0.500)
O (0.458, 0.915, 0.500)
O (0.544, 0.772, 0.500)
O (0.651, 0.676, 0.325)
O (0.651, 0.676, 0.675)
O (0.651, 0.975, 0.325)
O (0.651, 0.975, 0.675)
O (0.725, 0.000, 0.000)
O (0.725, 0.724, 0.000)
O (0.797, 0.899, 0.233)
O (0.797, 0.899, 0.767)
O (0.874, 0.126, 0.255)
O (0.874, 0.126, 0.745)
O (0.874, 0.748, 0.255)
O (0.874, 0.748, 0.745)

Main lines, in order of rising 2θ (5 to 70 degrees two-theta):
2theta, I_rel
7.76, 100
13.47, 50
13.94, 29
20.64, 15
23.72, 12
24.54, 19


Repeat the second record exactly.
The following is a theoretical powder X-ray diffraction pattern of Ca3Ag. It was derived from the PBE geometry in the Materials Project, using copper Kα.
Intensities are scaled so that the largest is 100.

Structural model:
a = 5.082 Å, b = 5.082 Å, c = 5.082 Å
α = 90.00°, β = 90.00°, γ = 90.00°
Positions (direct):
Ca (0.000, 0.000, 0.500)
Ca (0.000, 0.500, 0.000)
Ca (0.500, 0.000, 0.000)
Ag (0.500, 0.500, 0.500)

Main lines, in order of rising 2θ (5 to 70 degrees two-theta):
2theta, I_rel
17.45, 23
24.77, 21
30.46, 100
35.32, 50
50.81, 33
60.41, 37